Record 1
Simulated PXRD pattern
Compound: BaHgRuO5
Radiation: λ = 1.5418 Å (Cu Kα)
Structure: the PBE geometry in the Materials Project

Atomic structure:
abc: 10.3659 10.3659 8.6207
angles: 90.00 90.00 120.00
Positions (direct):
Ba: 0.0000 0.0000 0.0000
Ba: 0.0000 0.0000 0.5000
Ba: 0.3333 0.6667 0.0166
Ba: 0.3333 0.6667 0.4834
Ba: 0.6667 0.3333 0.5166
Ba: 0.6667 0.3333 0.9834
Hg: 0.0128 0.6795 0.7500
Hg: 0.3205 0.3333 0.7500
Hg: 0.3333 0.0128 0.2500
Hg: 0.6667 0.9872 0.7500
Hg: 0.6795 0.6667 0.2500
Hg: 0.9872 0.3205 0.2500
Ru: 0.0126 0.6703 0.2500
Ru: 0.3297 0.3423 0.2500
Ru: 0.3423 0.0126 0.7500
Ru: 0.6577 0.9874 0.2500
Ru: 0.6703 0.6577 0.7500
Ru: 0.9874 0.3297 0.7500
O: 0.0908 0.2082 0.7500
O: 0.1079 0.7570 0.0737
O: 0.1079 0.7570 0.4263
O: 0.1174 0.9092 0.7500
O: 0.1197 0.5491 0.2500
O: 0.1636 0.5003 0.7500
O: 0.2082 0.1174 0.2500
O: 0.2430 0.3509 0.0737
O: 0.2430 0.3509 0.4263
O: 0.3367 0.8364 0.7500
O: 0.3509 0.1079 0.5737
O: 0.3509 0.1079 0.9263
O: 0.4294 0.8803 0.2500
O: 0.4509 0.5706 0.2500
O: 0.5003 0.3367 0.2500
O: 0.4997 0.6633 0.7500
O: 0.5491 0.4294 0.7500
O: 0.5706 0.1197 0.7500
O: 0.6491 0.8921 0.0737
O: 0.6491 0.8921 0.4263
O: 0.6633 0.1636 0.2500
O: 0.7570 0.6491 0.5737
O: 0.7570 0.6491 0.9263
O: 0.7918 0.8826 0.7500
O: 0.8364 0.4997 0.2500
O: 0.8803 0.4509 0.7500
O: 0.8826 0.0908 0.2500
O: 0.8921 0.2430 0.5737
O: 0.8921 0.2430 0.9263
O: 0.9092 0.7918 0.2500

Top 12 peaks for 2θ from 10° to 90°, in order of falling intensity:
2θ (°)  Rel. int.
26.9  100
29.9  91
40.6  41
52.3  36
51.2  35
53.0  20
20.6  19
69.8  18
41.9  16
68.9  15
36.6  13
20.0  12

Record 2
Simulated PXRD pattern
Compound: Ba3SrHg4O8
Radiation: λ = 1.5418 Å (Cu Kα)
Structure: the PBE geometry in the Materials Project

Atomic structure:
abc: 6.8543 6.8543 25.3977
angles: 90.00 90.00 120.00
Positions (direct):
Ba: 0.0000 0.0000 0.0000
Ba: 0.3333 0.6667 0.0168
Ba: 0.3333 0.6667 0.2335
Ba: 0.3333 0.6667 0.5165
Ba: 0.3333 0.6667 0.7332
Ba: 0.6667 0.3333 0.2668
Ba: 0.6667 0.3333 0.4835
Ba: 0.6667 0.3333 0.7665
Ba: 0.6667 0.3333 0.9832
Sr: 0.0000 0.0000 0.2501
Sr: 0.0000 0.0000 0.5000
Sr: 0.0000 0.0000 0.7499
Hg: 0.1699 0.3397 0.3750
Hg: 0.1704 0.8269 0.8742
Hg: 0.1698 0.8301 0.3750
Hg: 0.1731 0.3434 0.8742
Hg: 0.3397 0.1699 0.6250
Hg: 0.3434 0.1731 0.1258
Hg: 0.6566 0.8296 0.8742
Hg: 0.6603 0.8302 0.3750
Hg: 0.8269 0.1704 0.1258
Hg: 0.8301 0.1698 0.6250
Hg: 0.8296 0.6566 0.1258
Hg: 0.8302 0.6603 0.6250
O: 0.0371 0.3341 0.8032
O: 0.0369 0.6865 0.9447
O: 0.0382 0.3348 0.3035
O: 0.0383 0.7035 0.4465
O: 0.2965 0.3348 0.4465
O: 0.2966 0.9618 0.3035
O: 0.2970 0.9629 0.8032
O: 0.3135 0.3504 0.9447
O: 0.3341 0.0371 0.1968
O: 0.3348 0.0382 0.6965
O: 0.3348 0.2965 0.5535
O: 0.3504 0.3135 0.0553
O: 0.6496 0.9631 0.9447
O: 0.6652 0.7034 0.3035
O: 0.6652 0.9617 0.4465
O: 0.6659 0.7030 0.8032
O: 0.6865 0.0369 0.0553
O: 0.7034 0.6652 0.6965
O: 0.7030 0.6659 0.1968
O: 0.7035 0.0383 0.5535
O: 0.9618 0.2966 0.6965
O: 0.9617 0.6652 0.5535
O: 0.9629 0.2970 0.1968
O: 0.9631 0.6496 0.0553

Top 12 peaks for 2θ from 10° to 90°, in order of falling intensity:
2θ (°)  Rel. int.
30.9  100
29.6  92
47.1  47
25.9  44
28.1  38
61.5  34
53.5  27
16.5  27
48.2  27
37.0  24
45.8  19
30.1  19

Record 3
Simulated PXRD pattern
Compound: Ba2UHgO6
Radiation: λ = 1.5418 Å (Cu Kα)
Structure: the PBE geometry in the Materials Project

Atomic structure:
abc: 6.2527 6.2527 6.2527
angles: 60.00 60.00 60.00
Positions (direct):
Ba: 0.2500 0.2500 0.2500
Ba: 0.7500 0.7500 0.7500
U: 0.0000 0.0000 0.0000
Hg: 0.5000 0.5000 0.5000
O: 0.2350 0.2350 0.7650
O: 0.2350 0.7650 0.2350
O: 0.2350 0.7650 0.7650
O: 0.7650 0.2350 0.2350
O: 0.7650 0.2350 0.7650
O: 0.7650 0.7650 0.2350

Top 12 peaks for 2θ from 10° to 90°, in order of falling intensity:
2θ (°)  Rel. int.
28.6  100
50.6  42
40.8  28
81.4  23
66.9  19
59.1  18
20.1  10
74.3  6
45.9  5
88.4  3
63.1  2
77.9  1

Record 4
Simulated PXRD pattern
Compound: BaHg2Pb
Radiation: λ = 1.5418 Å (Cu Kα)
Structure: the PBE geometry in the Materials Project

Atomic structure:
abc: 7.9855 7.9855 7.9855
angles: 90.00 90.00 90.00
Positions (direct):
Ba: 0.0000 0.0000 0.0000
Ba: 0.0000 0.5000 0.5000
Ba: 0.5000 0.0000 0.5000
Ba: 0.5000 0.5000 0.0000
Hg: 0.2500 0.2500 0.2500
Hg: 0.2500 0.2500 0.7500
Hg: 0.2500 0.7500 0.2500
Hg: 0.2500 0.7500 0.7500
Hg: 0.7500 0.2500 0.2500
Hg: 0.7500 0.2500 0.7500
Hg: 0.7500 0.7500 0.2500
Hg: 0.7500 0.7500 0.7500
Pb: 0.0000 0.0000 0.5000
Pb: 0.0000 0.5000 0.0000
Pb: 0.5000 0.0000 0.0000
Pb: 0.5000 0.5000 0.5000

Top 10 peaks for 2θ from 10° to 90°, in order of falling intensity:
2θ (°)  Rel. int.
31.7  100
56.5  40
45.4  19
75.3  17
66.2  12
84.0  4
19.3  2
37.3  1
22.3  1
49.8  1

Record 5
Simulated PXRD pattern
Compound: BaHgPb
Radiation: λ = 1.5418 Å (Cu Kα)
Structure: the PBE geometry in the Materials Project

Atomic structure:
abc: 12.3255 5.4656 8.5946
angles: 90.00 133.95 90.00
Positions (direct):
Ba: 0.0352 0.0000 0.2865
Ba: 0.4648 0.5000 0.7135
Ba: 0.5352 0.5000 0.2865
Ba: 0.9648 0.0000 0.7135
Hg: 0.1607 0.5000 0.7116
Hg: 0.3393 0.0000 0.2884
Hg: 0.6607 0.0000 0.7116
Hg: 0.8393 0.5000 0.2884
Pb: 0.1646 0.5000 0.1069
Pb: 0.3354 0.0000 0.8931
Pb: 0.6646 0.0000 0.1069
Pb: 0.8354 0.5000 0.8931

Top 12 peaks for 2θ from 10° to 90°, in order of falling intensity:
2θ (°)  Rel. int.
28.3  100
34.5  90
32.8  77
27.9  38
47.1  31
44.3  24
32.9  22
29.0  21
14.4  20
20.7  20
59.6  19
28.9  17

Record 6
Simulated PXRD pattern
Compound: Ba2HgPb
Radiation: λ = 1.5418 Å (Cu Kα)
Structure: the PBE geometry in the Materials Project

Atomic structure:
abc: 8.5827 8.5827 8.5827
angles: 90.00 90.00 90.00
Positions (direct):
Ba: 0.2500 0.2500 0.2500
Ba: 0.2500 0.2500 0.7500
Ba: 0.2500 0.7500 0.2500
Ba: 0.2500 0.7500 0.7500
Ba: 0.7500 0.2500 0.2500
Ba: 0.7500 0.2500 0.7500
Ba: 0.7500 0.7500 0.2500
Ba: 0.7500 0.7500 0.7500
Hg: 0.0000 0.0000 0.0000
Hg: 0.0000 0.5000 0.5000
Hg: 0.5000 0.0000 0.5000
Hg: 0.5000 0.5000 0.0000
Pb: 0.0000 0.0000 0.5000
Pb: 0.0000 0.5000 0.0000
Pb: 0.5000 0.0000 0.0000
Pb: 0.5000 0.5000 0.5000

Top 12 peaks for 2θ from 10° to 90°, in order of falling intensity:
2θ (°)  Rel. int.
29.4  100
52.2  41
84.5  22
42.1  19
69.2  18
61.1  13
20.7  5
77.0  4
47.4  3
36.3  2
65.2  1
73.1  1

What did the first record say?
Simulated PXRD pattern
Compound: BaHgRuO5
Radiation: λ = 1.5418 Å (Cu Kα)
Structure: the PBE geometry in the Materials Project

Atomic structure:
abc: 10.3659 10.3659 8.6207
angles: 90.00 90.00 120.00
Positions (direct):
Ba: 0.0000 0.0000 0.0000
Ba: 0.0000 0.0000 0.5000
Ba: 0.3333 0.6667 0.0166
Ba: 0.3333 0.6667 0.4834
Ba: 0.6667 0.3333 0.5166
Ba: 0.6667 0.3333 0.9834
Hg: 0.0128 0.6795 0.7500
Hg: 0.3205 0.3333 0.7500
Hg: 0.3333 0.0128 0.2500
Hg: 0.6667 0.9872 0.7500
Hg: 0.6795 0.6667 0.2500
Hg: 0.9872 0.3205 0.2500
Ru: 0.0126 0.6703 0.2500
Ru: 0.3297 0.3423 0.2500
Ru: 0.3423 0.0126 0.7500
Ru: 0.6577 0.9874 0.2500
Ru: 0.6703 0.6577 0.7500
Ru: 0.9874 0.3297 0.7500
O: 0.0908 0.2082 0.7500
O: 0.1079 0.7570 0.0737
O: 0.1079 0.7570 0.4263
O: 0.1174 0.9092 0.7500
O: 0.1197 0.5491 0.2500
O: 0.1636 0.5003 0.7500
O: 0.2082 0.1174 0.2500
O: 0.2430 0.3509 0.0737
O: 0.2430 0.3509 0.4263
O: 0.3367 0.8364 0.7500
O: 0.3509 0.1079 0.5737
O: 0.3509 0.1079 0.9263
O: 0.4294 0.8803 0.2500
O: 0.4509 0.5706 0.2500
O: 0.5003 0.3367 0.2500
O: 0.4997 0.6633 0.7500
O: 0.5491 0.4294 0.7500
O: 0.5706 0.1197 0.7500
O: 0.6491 0.8921 0.0737
O: 0.6491 0.8921 0.4263
O: 0.6633 0.1636 0.2500
O: 0.7570 0.6491 0.5737
O: 0.7570 0.6491 0.9263
O: 0.7918 0.8826 0.7500
O: 0.8364 0.4997 0.2500
O: 0.8803 0.4509 0.7500
O: 0.8826 0.0908 0.2500
O: 0.8921 0.2430 0.5737
O: 0.8921 0.2430 0.9263
O: 0.9092 0.7918 0.2500

Top 12 peaks for 2θ from 10° to 90°, in order of falling intensity:
2θ (°)  Rel. int.
26.9  100
29.9  91
40.6  41
52.3  36
51.2  35
53.0  20
20.6  19
69.8  18
41.9  16
68.9  15
36.6  13
20.0  12

Which formula does entry 3 have?
Ba2UHgO6

Please write out number 5 again, unchanged.
Simulated PXRD pattern
Compound: BaHgPb
Radiation: λ = 1.5418 Å (Cu Kα)
Structure: the PBE geometry in the Materials Project

Atomic structure:
abc: 12.3255 5.4656 8.5946
angles: 90.00 133.95 90.00
Positions (direct):
Ba: 0.0352 0.0000 0.2865
Ba: 0.4648 0.5000 0.7135
Ba: 0.5352 0.5000 0.2865
Ba: 0.9648 0.0000 0.7135
Hg: 0.1607 0.5000 0.7116
Hg: 0.3393 0.0000 0.2884
Hg: 0.6607 0.0000 0.7116
Hg: 0.8393 0.5000 0.2884
Pb: 0.1646 0.5000 0.1069
Pb: 0.3354 0.0000 0.8931
Pb: 0.6646 0.0000 0.1069
Pb: 0.8354 0.5000 0.8931

Top 12 peaks for 2θ from 10° to 90°, in order of falling intensity:
2θ (°)  Rel. int.
28.3  100
34.5  90
32.8  77
27.9  38
47.1  31
44.3  24
32.9  22
29.0  21
14.4  20
20.7  20
59.6  19
28.9  17